Record 1
For K3Er7S12, a cell relaxed with GGA-PBE gives the computed powder diffraction line list in this record (Cu Kα, 1.54184 Å).

Top 6 peaks for 2θ = 5–70°, by intensity:
| d (Å) | I (rel.) |
| --- | --- |
| 8.575 | 100 |
| 2.786 | 73 |
| 3.270 | 36 |
| 2.734 | 27 |
| 3.093 | 25 |
| 1.982 | 25 |

Atomic structure:
Unit cell a=3.964 b=11.900 c=24.735 alpha=90.00 beta=90.00 gamma=90.00
Sites, in units of the cell vectors:
K: 0.000 0.052 0.000
K: 0.000 0.317 0.334
K: 0.000 0.445 0.729
K: 0.500 0.555 0.229
K: 0.500 0.683 0.834
K: 0.500 0.948 0.500
Er: 0.000 0.145 0.654
Er: 0.000 0.249 0.865
Er: 0.000 0.355 0.076
Er: 0.000 0.520 0.445
Er: 0.000 0.692 0.044
Er: 0.000 0.811 0.685
Er: 0.000 0.980 0.287
Er: 0.500 0.020 0.787
Er: 0.500 0.189 0.185
Er: 0.500 0.308 0.544
Er: 0.500 0.480 0.945
Er: 0.500 0.645 0.576
Er: 0.500 0.751 0.365
Er: 0.500 0.855 0.154
S: 0.000 0.020 0.173
S: 0.000 0.156 0.544
S: 0.000 0.171 0.763
S: 0.000 0.328 0.967
S: 0.000 0.344 0.188
S: 0.000 0.480 0.558
S: 0.000 0.594 0.342
S: 0.000 0.635 0.938
S: 0.000 0.705 0.152
S: 0.000 0.794 0.578
S: 0.000 0.864 0.791
S: 0.000 0.902 0.387
S: 0.500 0.098 0.887
S: 0.500 0.136 0.291
S: 0.500 0.206 0.078
S: 0.500 0.295 0.652
S: 0.500 0.365 0.438
S: 0.500 0.406 0.842
S: 0.500 0.520 0.058
S: 0.500 0.656 0.688
S: 0.500 0.672 0.467
S: 0.500 0.829 0.263
S: 0.500 0.844 0.044
S: 0.500 0.980 0.673

=====

Record 2
For La3Er, a cell relaxed with GGA-PBE gives the computed powder diffraction line list in this record (Cu Kα, 1.54184 Å).

Top 6 peaks for 2θ = 5–70°, by intensity:
| d (Å) | I (rel.) |
| --- | --- |
| 3.007 | 100 |
| 2.600 | 34 |
| 1.569 | 29 |
| 1.843 | 24 |
| 2.613 | 17 |
| 1.574 | 15 |

Atomic structure:
Unit cell a=5.200 b=5.200 c=10.454 alpha=90.00 beta=90.00 gamma=90.00
Sites, in units of the cell vectors:
La: 0.000 0.000 0.000
La: 0.000 0.500 0.250
La: 0.000 0.500 0.750
La: 0.500 0.000 0.250
La: 0.500 0.000 0.750
La: 0.500 0.500 0.500
Er: 0.000 0.000 0.500
Er: 0.500 0.500 0.000

=====

Record 3
For LaErMg2, a cell relaxed with GGA-PBE gives the computed powder diffraction line list in this record (Cu Kα, 1.54184 Å).

Top 6 peaks for 2θ = 5–70°, by intensity:
| d (Å) | I (rel.) |
| --- | --- |
| 2.736 | 100 |
| 3.869 | 61 |
| 1.579 | 38 |
| 1.730 | 26 |
| 2.234 | 19 |
| 1.934 | 18 |

Atomic structure:
Unit cell a=7.738 b=7.738 c=7.738 alpha=90.00 beta=90.00 gamma=90.00
Sites, in units of the cell vectors:
La: 0.000 0.000 0.000
La: 0.000 0.500 0.500
La: 0.500 0.000 0.500
La: 0.500 0.500 0.000
Er: 0.000 0.000 0.500
Er: 0.000 0.500 0.000
Er: 0.500 0.000 0.000
Er: 0.500 0.500 0.500
Mg: 0.250 0.250 0.250
Mg: 0.250 0.250 0.750
Mg: 0.250 0.750 0.250
Mg: 0.250 0.750 0.750
Mg: 0.750 0.250 0.250
Mg: 0.750 0.250 0.750
Mg: 0.750 0.750 0.250
Mg: 0.750 0.750 0.750

=====

Record 4
For La9ErO15, a cell relaxed with GGA-PBE gives the computed powder diffraction line list in this record (Cu Kα, 1.54184 Å).

Top 6 peaks for 2θ = 5–70°, by intensity:
| d (Å) | I (rel.) |
| --- | --- |
| 2.974 | 100 |
| 1.960 | 33 |
| 3.395 | 29 |
| 1.757 | 28 |
| 3.080 | 28 |
| 1.654 | 27 |

Atomic structure:
Unit cell a=6.790 b=7.302 c=9.972 alpha=71.94 beta=90.00 gamma=62.30
Sites, in units of the cell vectors:
La: 0.000 0.000 0.000
La: 0.061 0.213 0.298
La: 0.197 0.605 0.396
La: 0.262 0.808 0.700
La: 0.400 0.200 0.801
La: 0.465 0.409 0.101
La: 0.661 0.008 0.498
La: 0.798 0.404 0.596
La: 0.860 0.610 0.902
Er: 0.590 0.818 0.202
O: 0.022 0.287 0.819
O: 0.025 0.605 0.150
O: 0.038 0.921 0.477
O: 0.231 0.206 0.548
O: 0.239 0.884 0.218
O: 0.241 0.521 0.879
O: 0.422 0.488 0.619
O: 0.436 0.801 0.953
O: 0.442 0.115 0.276
O: 0.622 0.074 0.028
O: 0.631 0.409 0.345
O: 0.640 0.722 0.677
O: 0.813 0.693 0.409
O: 0.831 0.005 0.749
O: 0.841 0.316 0.078

=====

Record 5
For LaEr2Se4, a cell relaxed with GGA-PBE gives the computed powder diffraction line list in this record (Cu Kα, 1.54184 Å).

Top 6 peaks for 2θ = 5–70°, by intensity:
| d (Å) | I (rel.) |
| --- | --- |
| 2.784 | 100 |
| 2.351 | 63 |
| 2.765 | 50 |
| 3.591 | 35 |
| 2.342 | 32 |
| 1.968 | 27 |

Atomic structure:
Unit cell a=7.607 b=7.607 c=7.607 alpha=109.26 beta=109.26 gamma=109.90
Sites, in units of the cell vectors:
La: 0.000 0.000 0.000
La: 0.750 0.250 0.500
Er: 0.256 0.625 0.131
Er: 0.375 0.506 0.631
Er: 0.494 0.125 0.869
Er: 0.875 0.744 0.369
Se: 0.134 0.732 0.747
Se: 0.137 0.234 0.753
Se: 0.268 0.016 0.402
Se: 0.482 0.384 0.247
Se: 0.613 0.866 0.598
Se: 0.616 0.863 0.098
Se: 0.766 0.518 0.902
Se: 0.984 0.387 0.253

=====

Record 6
For LaEr4Se7, a cell relaxed with GGA-PBE gives the computed powder diffraction line list in this record (Cu Kα, 1.54184 Å).

Top 6 peaks for 2θ = 5–70°, by intensity:
| d (Å) | I (rel.) |
| --- | --- |
| 3.935 | 100 |
| 2.831 | 93 |
| 2.749 | 78 |
| 2.974 | 73 |
| 3.832 | 67 |
| 1.987 | 57 |

Atomic structure:
Unit cell a=7.059 b=7.059 c=12.235 alpha=103.86 beta=103.86 gamma=32.71
Sites, in units of the cell vectors:
La: 0.000 0.000 0.000
Er: 0.188 0.188 0.764
Er: 0.587 0.587 0.392
Er: 0.775 0.775 0.160
Er: 0.887 0.887 0.576
Se: 0.152 0.152 0.234
Se: 0.228 0.228 0.528
Se: 0.380 0.380 0.083
Se: 0.546 0.546 0.628
Se: 0.637 0.637 0.926
Se: 0.841 0.841 0.786
Se: 0.930 0.930 0.364